(1)
Structure and computed powder diffraction line list of LiMnP2O8 (a structure optimized by DFT (PBE+U); Cu Kα (λ = 1.5418 Å)).
Peak positions follow from Bragg's law for the DFT cell and can differ from measured ones.

Largest 10 diffraction maxima, sorted by position, 2θ from 10° to 90°:
2theta  d_spacing  I (rel.)  h k l
17.2  5.162  100  0 1 1
21.2  4.195  21  1 1 -1
23.5  3.785  35  1 0 -2
24.5  3.629  86  1 1 0
25.2  3.529  61  0 2 1
25.8  3.449  71  1 1 -2
30.8  2.903  27  1 2 0
34.8  2.581  58  0 2 2
37.2  2.419  42  1 3 -1
38.6  2.330  37  2 1 -2

Crystal structure
```
data_LiMnP2O8
_space_group_name_H-M_alt 'P 1 21/c 1'
_space_group_IT_number 14
_space_group_name_Hall '-P 2ybc'
_cell_length_a 4.863
_cell_length_b 8.374
_cell_length_c 7.916
_cell_angle_alpha 90.00
_cell_angle_beta 124.08
_cell_angle_gamma 90.00
loop_
_atom_site_label
_atom_site_type_symbol
_atom_site_fract_x
_atom_site_fract_y
_atom_site_fract_z
Li1 Li 0.000 0.000 0.000
Mn1 Mn 0.500 0.000 0.500
P1 P 0.215 0.173 0.741
O1 O 0.134 0.630 0.949
O2 O 0.206 0.142 0.268
O3 O 0.300 0.096 0.941
O4 O 0.479 0.130 0.696
```



(2)
Structure and computed powder diffraction line list of LiMnP2O8 (a structure optimized by DFT (PBE+U); Cu Kα (λ = 1.5418 Å)).
Peak positions follow from Bragg's law for the DFT cell and can differ from measured ones.

Largest 10 diffraction maxima, sorted by position, 2θ from 10° to 90°:
2theta  d_spacing  I (rel.)  h k l
13.2  6.719  84  0 0 2
20.1  4.426  10  2 0 0
24.4  3.645  100  1 1 -2
25.6  3.474  46  2 0 2
31.0  2.883  8  2 0 -4
33.1  2.703  17  1 1 -4
35.9  2.500  32  3 1 0
38.7  2.329  17  1 1 -5
43.6  2.075  8  2 2 -1
59.2  1.561  9  5 1 2

Crystal structure
```
data_LiMnP2O8
_space_group_name_H-M_alt 'C 1 2/c 1'
_space_group_IT_number 15
_space_group_name_Hall '-C 2yc'
_cell_length_a 8.944
_cell_length_b 4.704
_cell_length_c 13.580
_cell_angle_alpha 90.00
_cell_angle_beta 98.27
_cell_angle_gamma 90.00
loop_
_atom_site_label
_atom_site_type_symbol
_atom_site_fract_x
_atom_site_fract_y
_atom_site_fract_z
Li1 Li 0.000 0.044 0.250
Mn1 Mn 0.000 0.000 0.000
P1 P 0.153 0.476 0.889
O1 O 0.060 0.192 0.883
O2 O 0.105 0.333 0.470
O3 O 0.135 0.389 0.285
O4 O 0.179 0.116 0.085
```



(3)
Structure and computed powder diffraction line list of Li2MnP2O8 (a structure optimized by DFT (PBE+U); Cu Kα (λ = 1.5418 Å)).
Peak positions follow from Bragg's law for the DFT cell and can differ from measured ones.

Largest 10 diffraction maxima, sorted by position, 2θ from 10° to 90°:
2theta  d_spacing  I (rel.)  h k l
15.4  5.761  89  1 1 0
15.7  5.658  100  1 1 -1
21.8  4.081  31  1 1 1
22.1  4.015  35  0 0 2
22.4  3.973  20  1 1 -2
29.2  3.054  74  2 2 -1
31.0  2.883  44  2 2 0
31.1  2.875  50  1 1 2
31.4  2.849  28  3 1 -2
47.3  1.920  16  3 3 0

Crystal structure
```
data_Li2MnP2O8
_space_group_name_H-M_alt 'C 1 2/c 1'
_space_group_IT_number 15
_space_group_name_Hall '-C 2yc'
_cell_length_a 9.393
_cell_length_b 8.044
_cell_length_c 9.138
_cell_angle_alpha 90.00
_cell_angle_beta 118.52
_cell_angle_gamma 90.00
loop_
_atom_site_label
_atom_site_type_symbol
_atom_site_fract_x
_atom_site_fract_y
_atom_site_fract_z
Li1 Li 0.115 0.219 0.009
Mn1 Mn 0.000 0.346 0.250
P1 P 0.222 0.443 0.643
O1 O 0.097 0.333 0.493
O2 O 0.136 0.172 0.236
O3 O 0.141 0.483 0.754
O4 O 0.221 0.096 0.910
```



(4)
Structure and computed powder diffraction line list of LiMn2P3O12 (a structure optimized by DFT (PBE+U); Cu Kα (λ = 1.5418 Å)).
Peak positions follow from Bragg's law for the DFT cell and can differ from measured ones.

Largest 10 diffraction maxima, sorted by position, 2θ from 10° to 90°:
2theta  d_spacing  I (rel.)  h k l
14.7  6.021  42  2 0 0
20.7  4.297  56  2 0 -2
21.1  4.212  33  0 2 0
24.6  3.621  100  3 1 -2
29.6  3.017  18  4 0 0
29.7  3.004  36  2 2 -2
32.7  2.735  17  4 2 -1
33.0  2.715  23  3 1 1
33.1  2.708  12  3 1 -3
36.9  2.433  15  6 0 -2

Crystal structure
```
data_LiMn2P3O12
_space_group_name_H-M_alt 'C 1 c 1'
_space_group_IT_number 9
_space_group_name_Hall 'C -2yc'
_cell_length_a 14.610
_cell_length_b 8.414
_cell_length_c 8.583
_cell_angle_alpha 90.00
_cell_angle_beta 124.30
_cell_angle_gamma 90.00
loop_
_atom_site_label
_atom_site_type_symbol
_atom_site_fract_x
_atom_site_fract_y
_atom_site_fract_z
Li1 Li 0.000 0.169 0.000
Mn1 Mn 0.200 0.248 0.384
Mn2 Mn 0.407 0.247 0.024
P1 P 0.164 0.113 0.707
P2 P 0.301 0.461 0.205
P3 P 0.441 0.110 0.696
O1 O 0.042 0.293 0.234
O2 O 0.062 0.204 0.662
O3 O 0.143 0.068 0.209
O4 O 0.188 0.126 0.555
O5 O 0.210 0.363 0.198
O6 O 0.240 0.437 0.527
O7 O 0.258 0.176 0.902
O8 O 0.349 0.179 0.499
O9 O 0.374 0.447 0.894
O10 O 0.392 0.353 0.215
O11 O 0.417 0.128 0.847
O12 O 0.461 0.068 0.191
```



(5)
Structure and computed powder diffraction line list of LiMnPO4 (a structure optimized by DFT (PBE+U); Cu Kα (λ = 1.5418 Å)).
Peak positions follow from Bragg's law for the DFT cell and can differ from measured ones.

Largest 10 diffraction maxima, sorted by position, 2θ from 10° to 90°:
2theta  d_spacing  I (rel.)  h k l
17.2  5.152  100  2 0 0
22.0  4.033  49  2 1 0
32.0  2.798  50  3 0 1
34.5  2.603  92  1 2 1
42.7  2.118  25  3 2 1
45.0  2.016  14  4 2 0
48.0  1.895  14  5 0 1
50.4  1.811  30  2 2 2
59.8  1.546  21  2 4 0
61.1  1.517  19  6 2 0

Crystal structure
```
data_LiMnPO4
_space_group_name_H-M_alt 'P n m a'
_space_group_IT_number 62
_space_group_name_Hall '-P 2ac 2n'
_cell_length_a 10.303
_cell_length_b 6.481
_cell_length_c 4.824
_cell_angle_alpha 90.00
_cell_angle_beta 90.00
_cell_angle_gamma 90.00
loop_
_atom_site_label
_atom_site_type_symbol
_atom_site_fract_x
_atom_site_fract_y
_atom_site_fract_z
Li1 Li 0.216 0.250 0.000
Mn1 Mn 0.000 0.000 0.500
P1 P 0.098 0.750 0.078
O1 O 0.044 0.250 0.792
O2 O 0.091 0.750 0.755
O3 O 0.163 0.553 0.197
```